[1]
# UFe2CoO6
Theoretical powder diffractogram, copper Kα. Input: a DFT-relaxed cell (PBE+U, Alexandria).

Cell and atoms:
a b c (Å): 5.5297 5.4017 9.7113
angles (deg): 90.00 124.52 90.00
Sites, in units of the cell vectors:
U (0.0000, 0.0000, 0.0000)
U (0.0000, 0.5000, 0.5000)
Fe (0.2559, 0.0310, 0.7755)
Fe (0.2559, 0.4690, 0.2755)
Fe (0.7441, 0.5310, 0.7245)
Fe (0.7441, 0.9690, 0.2245)
Co (0.5000, 0.0000, 0.5000)
Co (0.5000, 0.5000, 0.0000)
O (0.1280, 0.0959, 0.2494)
O (0.1280, 0.4041, 0.7494)
O (0.2415, 0.6836, 0.0849)
O (0.2415, 0.8164, 0.5849)
O (0.3865, 0.1744, 0.0522)
O (0.3865, 0.3256, 0.5522)
O (0.6135, 0.6744, 0.4478)
O (0.6135, 0.8256, 0.9478)
O (0.7585, 0.1836, 0.4151)
O (0.7585, 0.3164, 0.9151)
O (0.8720, 0.5959, 0.2506)
O (0.8720, 0.9041, 0.7506)

Main lines, most intense first (15° ≤ 2θ ≤ 90°):
two_theta  I (rel.)
32.2  1000
19.8  404
23.0  261
32.4  256
19.5  251
33.2  231

[2]
# Na2W2O7
Theoretical powder diffractogram, copper Kα. Input: a DFT-relaxed cell (PBE+U, Alexandria).

Cell and atoms:
a b c (Å): 7.0872 7.0872 15.0423
angles (deg): 90.00 90.00 117.25
Sites, in units of the cell vectors:
Na (0.1657, 0.8343, 0.8460)
Na (0.2504, 0.2504, 0.0000)
Na (0.2496, 0.2496, 0.5000)
Na (0.3343, 0.6657, 0.3460)
Na (0.6657, 0.3343, 0.6540)
Na (0.7496, 0.7496, 0.0000)
Na (0.7504, 0.7504, 0.5000)
Na (0.8343, 0.1657, 0.1540)
W (0.1604, 0.3396, 0.7500)
W (0.2471, 0.7529, 0.0865)
W (0.2529, 0.7471, 0.5865)
W (0.3396, 0.1604, 0.2500)
W (0.6604, 0.8396, 0.7500)
W (0.7471, 0.2529, 0.4135)
W (0.7529, 0.2471, 0.9135)
W (0.8396, 0.6604, 0.2500)
O (0.0301, 0.5628, 0.1569)
O (0.0628, 0.5301, 0.6569)
O (0.1228, 0.8772, 0.5307)
O (0.1249, 0.8751, 0.2816)
O (0.1402, 0.8598, 0.0028)
O (0.1981, 0.2057, 0.1611)
O (0.2057, 0.1981, 0.8389)
O (0.2943, 0.3019, 0.3389)
O (0.3019, 0.2943, 0.6611)
O (0.3598, 0.6402, 0.5028)
O (0.3751, 0.6249, 0.7816)
O (0.3772, 0.6228, 0.0307)
O (0.4372, 0.9699, 0.1569)
O (0.4699, 0.9372, 0.6569)
O (0.5301, 0.0628, 0.3431)
O (0.5628, 0.0301, 0.8431)
O (0.6228, 0.3772, 0.9693)
O (0.6249, 0.3751, 0.2184)
O (0.6402, 0.3598, 0.4972)
O (0.6981, 0.7057, 0.3389)
O (0.7057, 0.6981, 0.6611)
O (0.7943, 0.8019, 0.1611)
O (0.8019, 0.7943, 0.8389)
O (0.8598, 0.1402, 0.9972)
O (0.8751, 0.1249, 0.7184)
O (0.8772, 0.1228, 0.4693)
O (0.9372, 0.4699, 0.3431)
O (0.9699, 0.4372, 0.8431)

Main lines, most intense first (15° ≤ 2θ ≤ 90°):
two_theta  I (rel.)
18.4  1000
15.8  893
27.9  846
28.3  703
26.9  670
27.6  512